Diffraction record for Ba2SnWO6. The powder diffractogram is calculated, not measured: it uses a crystal structure in Alexandria, relaxed with PBE+U and Cu Ka.
Lines closer than 0.1° are merged.

Structure:
Lattice parameters (Å, degrees): 8.722 8.722 8.722 90.00 90.00 90.00
Space group Fm-3m (No. 225)
Inequivalent atoms, fractional coordinates:
Ba  0.250  0.250  0.250 (multiplicity 8)
Sn  0.000  0.000  0.000 (multiplicity 4)
W  0.000  0.000  0.500 (multiplicity 4)
O  0.000  0.000  0.276 (multiplicity 24)

Largest 6 diffraction maxima, sorted by position, 10° ≤ 2θ ≤ 90°:
2theta  Rel. int.
28.96  100
41.41  29
51.32  41
60.00  18
67.98  19
82.82  23